(1)
Calculated powder X-ray diffraction pattern of LuGa2Ni3 for CuKα, from DFT lattice parameters and positions (GGA-PBE).
No peak broadening, texture or thermal motion is included.

Cell and atoms:
a = 8.6970 Å, b = 8.6970 Å, c = 4.0656 Å
α = 90.00°, β = 90.00°, γ = 120.00°
Fractional positions:
Lu 0.0000 0.0000 0.0000
Lu 0.3333 0.6667 0.5000
Lu 0.6667 0.3333 0.5000
Ga 0.0000 0.2709 0.5000
Ga 0.0000 0.5146 0.0000
Ga 0.2709 0.0000 0.5000
Ga 0.4854 0.4854 0.0000
Ga 0.5146 0.0000 0.0000
Ga 0.7291 0.7291 0.5000
Ni 0.0000 0.7044 0.5000
Ni 0.1765 0.3725 0.0000
Ni 0.1960 0.8235 0.0000
Ni 0.2956 0.2956 0.5000
Ni 0.3725 0.1765 0.0000
Ni 0.6275 0.8040 0.0000
Ni 0.7044 0.0000 0.5000
Ni 0.8040 0.6275 0.0000
Ni 0.8235 0.1960 0.0000

Principal peaks in the range 10° ≤ 2θ ≤ 90°, by angle:
d [Å]  2θ/deg  I/Imax
3.578  24.9  24
2.763  32.4  73
2.511  35.8  42
2.332  38.6  100
2.174  41.5  61
2.136  42.3  66
2.033  44.6  50
1.917  47.4  27
1.580  58.4  21
1.485  62.6  35



(2)
Calculated powder X-ray diffraction pattern of Lu4Ga21Ni10 for CuKα, from DFT lattice parameters and positions (GGA-PBE).
No peak broadening, texture or thermal motion is included.

Cell and atoms:
a = 10.4962 Å, b = 10.4962 Å, c = 15.3839 Å
α = 123.04°, β = 123.04°, γ = 22.09°
Fractional positions:
Lu 0.1201 0.1201 0.3332
Lu 0.2296 0.2296 0.8248
Lu 0.7704 0.7704 0.1752
Lu 0.8799 0.8799 0.6668
Ga 0.0064 0.0064 0.0910
Ga 0.0647 0.0647 0.7957
Ga 0.1164 0.1164 0.5515
Ga 0.2020 0.2020 0.0041
Ga 0.2478 0.2478 0.2936
Ga 0.2981 0.2981 0.4976
Ga 0.3722 0.3722 0.8030
Ga 0.3844 0.3844 0.2973
Ga 0.3975 0.3975 0.0026
Ga 0.4590 0.4590 0.6314
Ga 0.5000 0.5000 0.5000
Ga 0.5410 0.5410 0.3686
Ga 0.6025 0.6025 0.9974
Ga 0.6156 0.6156 0.7027
Ga 0.6278 0.6278 0.1970
Ga 0.7019 0.7019 0.5024
Ga 0.7522 0.7522 0.7064
Ga 0.7980 0.7980 0.9959
Ga 0.8836 0.8836 0.4485
Ga 0.9353 0.9353 0.2043
Ga 0.9936 0.9936 0.9090
Ni 0.0246 0.0246 0.6080
Ni 0.1342 0.1342 0.1054
Ni 0.2499 0.2499 0.6146
Ni 0.3471 0.3471 0.1147
Ni 0.4975 0.4975 0.8137
Ni 0.5025 0.5025 0.1863
Ni 0.6529 0.6529 0.8853
Ni 0.7501 0.7501 0.3854
Ni 0.8658 0.8658 0.8946
Ni 0.9754 0.9754 0.3920

Principal peaks in the range 10° ≤ 2θ ≤ 90°, by angle:
d [Å]  2θ/deg  I/Imax
2.647  33.9  32
2.431  37.0  28
2.404  37.4  69
2.367  38.0  94
2.343  38.4  55
2.336  38.5  87
2.328  38.7  53
2.142  42.2  30
2.011  45.1  100
1.981  45.8  27



(3)
Calculated powder X-ray diffraction pattern of LuGa2Ni for CuKα, from DFT lattice parameters and positions (GGA-PBE).
No peak broadening, texture or thermal motion is included.

Cell and atoms:
a = 5.3345 Å, b = 5.3345 Å, c = 6.5861 Å
α = 90.00°, β = 90.00°, γ = 134.57°
Fractional positions:
Lu 0.0751 0.9249 0.7500
Lu 0.9249 0.0751 0.2500
Ga 0.3607 0.6393 0.5526
Ga 0.3607 0.6393 0.9474
Ga 0.6393 0.3607 0.0526
Ga 0.6393 0.3607 0.4474
Ni 0.2079 0.7921 0.2500
Ni 0.7921 0.2079 0.7500

Principal peaks in the range 10° ≤ 2θ ≤ 90°, by angle:
d [Å]  2θ/deg  I/Imax
3.800  23.4  15
3.292  27.1  22
2.489  36.1  100
2.391  37.6  86
2.305  39.1  38
2.060  44.0  35
2.005  45.2  23
1.536  60.3  21
1.437  64.9  16
1.331  70.8  17